No. 1
Simulated powder X-ray diffraction pattern of ErB6 for a wavelength of 1.5418 Å, from a cell relaxed with PBE.
Intensities are scaled so that the largest is 100.

Main lines, sorted by position (2θ from 15° to 90°):
| hkl | 2θ (°) | I/Imax |
| --- | --- | --- |
| 1 0 0 | 21.7 | 71 |
| 1 1 0 | 30.9 | 100 |
| 1 1 1 | 38.1 | 42 |
| 2 0 0 | 44.3 | 21 |
| 2 1 0 | 49.9 | 50 |
| 2 1 1 | 55.0 | 29 |
| 2 2 0 | 64.5 | 10 |
| 2 2 1 | 68.9 | 28 |
| 3 1 0 | 73.2 | 20 |
| 3 1 1 | 77.5 | 13 |
| 3 2 0 | 85.7 | 9 |
| 3 2 1 | 89.8 | 19 |

Lattice parameters (Å, degrees): 4.0867 4.0867 4.0867 90.00 90.00 90.00
Space group Pm-3m (No. 221)
Symmetry-distinct sites (fractional):
1 Er 0.0000 0.0000 0.0000
2 B 0.1987 0.5000 0.5000

No. 2
Simulated powder X-ray diffraction pattern of Ac4Sm3Tm2 for a wavelength of 1.5418 Å, from a cell relaxed with PBE.
Intensities are scaled so that the largest is 100.

Main lines, sorted by position (2θ from 15° to 90°):
| hkl | 2θ (°) | I/Imax |
| --- | --- | --- |
| 1 0 -3 | 29.0 | 100 |
| 1 1 0 | 29.2 | 99 |
| 2 -1 0 | 33.3 | 70 |
| 0 2 -3 | 34.6 | 32 |
| 2 0 3 | 47.8 | 26 |
| 2 1 -3 | 48.8 | 24 |
| -3 1 3 | 56.8 | 23 |
| 3 0 0 | 56.9 | 16 |
| 3 -3 0 | 57.0 | 23 |
| 1 2 -6 | 58.5 | 14 |
| 1 3 -3 | 58.8 | 14 |
| 2 2 0 | 60.5 | 13 |

Lattice parameters (Å, degrees): 5.3880 6.4154 11.2535 105.01 90.01 114.77
Space group P-1 (No. 2)
Symmetry-distinct sites (fractional):
1 Ac 0.0031 0.0064 0.3315
2 Ac 0.3341 0.6682 0.1109
3 Sm 0.0000 0.0000 0.0000
4 Sm 0.3337 0.6673 0.4482
5 Tm 0.3283 0.6568 0.7717

No. 3
Simulated powder X-ray diffraction pattern of Sm8Ho3Th for a wavelength of 1.5418 Å, from a cell relaxed with PBE.
Intensities are scaled so that the largest is 100.

Main lines, sorted by position (2θ from 15° to 90°):
| hkl | 2θ (°) | I/Imax |
| --- | --- | --- |
| 1 2 2 | 28.3 | 24 |
| 0 2 -2 | 30.9 | 25 |
| 1 0 -2 | 32.3 | 100 |
| 1 4 0 | 42.4 | 16 |
| 3 3 3 | 50.0 | 20 |
| 1 -4 2 | 55.8 | 21 |
| 3 1 5 | 59.9 | 19 |
| 2 3 5 | 60.8 | 11 |
| 2 5 3 | 60.9 | 5 |
| -1 5 3 | 82.5 | 8 |
| 5 5 3 | 82.6 | 6 |
| 3 4 -4 | 85.7 | 6 |

Lattice parameters (Å, degrees): 6.3118 8.5603 8.5738 85.05 68.41 68.46
Space group P1 (No. 1)
Symmetry-distinct sites (fractional):
1 Sm 0.0000 0.0000 0.0000
2 Sm 0.0006 0.4987 0.5005
3 Sm 0.3259 0.1741 0.1748
4 Sm 0.3267 0.6743 0.6742
5 Sm 0.6547 0.7550 0.2554
6 Sm 0.6628 0.2516 0.7517
7 Sm 0.9879 0.4217 0.9220
8 Sm 0.9889 0.9251 0.4260
9 Ho 0.3263 0.5884 0.0884
10 Ho 0.6511 0.3368 0.3379
11 Ho 0.6516 0.8373 0.8374
12 Th 0.3282 0.0881 0.5887

No. 4
Simulated powder X-ray diffraction pattern of Ac5LaRh3 for a wavelength of 1.5418 Å, from a cell relaxed with PBE.
Intensities are scaled so that the largest is 100.

Main lines, sorted by position (2θ from 15° to 90°):
| hkl | 2θ (°) | I/Imax |
| --- | --- | --- |
| 1 0 3 | 18.0 | 26 |
| 0 0 6 | 25.3 | 43 |
| 1 1 -3 | 26.9 | 100 |
| 1 1 3 | 27.2 | 98 |
| 2 0 -3 | 28.0 | 35 |
| 2 0 3 | 28.6 | 29 |
| 1 1 -6 | 34.8 | 37 |
| 1 1 6 | 35.3 | 27 |
| 2 0 -6 | 35.6 | 23 |
| 0 2 0 | 41.1 | 32 |
| 0 1 9 | 43.7 | 71 |
| 1 1 9 | 45.9 | 23 |

Lattice parameters (Å, degrees): 7.0518 4.3898 21.1471 90.00 91.38 90.00
Space group P2/m (No. 10)
Symmetry-distinct sites (fractional):
1 Ac 0.1798 0.0000 0.4043
2 Ac 0.2214 0.0000 0.0638
3 Ac 0.2756 0.5000 0.8949
4 Ac 0.3035 0.5000 0.2355
5 Ac 0.3185 0.5000 0.5723
6 La 0.1979 0.0000 0.7336
7 Rh 0.0000 0.5000 0.0000
8 Rh 0.0138 0.5000 0.6697
9 Rh 0.4857 0.0000 0.8305
10 Rh 0.5000 0.0000 0.5000